# 1
CrCuO3: theoretical powder diffractogram (Cu Kα, 1.54184 Å), based on a PBE+U-relaxed structure.
Peak positions follow from Bragg's law for the DFT cell and can differ from measured ones.

Top 4 peaks for 5° ≤ 2θ ≤ 70°, sorted by position:
| Position (°2θ) | I/Imax |
| --- | --- |
| 34.3 | 100 |
| 42.3 | 13 |
| 49.3 | 42 |
| 61.4 | 34 |

a = 3.699 Å, b = 3.699 Å, c = 3.699 Å
α = 90.00°, β = 90.00°, γ = 90.00°
Atoms (fractional coordinates):
Cr  0.000  0.000  0.000
Cu  0.500  0.500  0.500
O  0.000  0.000  0.500
O  0.000  0.500  0.000
O  0.500  0.000  0.000

# 2
Cr4Cu3O12: theoretical powder diffractogram (Cu Kα, 1.54184 Å), based on a PBE+U-relaxed structure.
Peak positions follow from Bragg's law for the DFT cell and can differ from measured ones.

Top 8 peaks for 5° ≤ 2θ ≤ 70°, sorted by position:
| Position (°2θ) | I/Imax |
| --- | --- |
| 17.2 | 28 |
| 30.0 | 16 |
| 34.8 | 100 |
| 39.1 | 11 |
| 46.6 | 6 |
| 50.1 | 26 |
| 53.3 | 6 |
| 62.4 | 50 |

a = 6.311 Å, b = 6.311 Å, c = 6.311 Å
α = 109.47°, β = 109.47°, γ = 109.47°
Atoms (fractional coordinates):
Cr  0.000  0.000  0.500
Cr  0.000  0.500  0.000
Cr  0.500  0.000  0.000
Cr  0.500  0.500  0.500
Cu  0.000  0.500  0.500
Cu  0.500  0.000  0.500
Cu  0.500  0.500  0.000
O  0.141  0.824  0.317
O  0.176  0.317  0.493
O  0.176  0.683  0.859
O  0.317  0.141  0.824
O  0.317  0.493  0.176
O  0.493  0.176  0.317
O  0.507  0.824  0.683
O  0.683  0.507  0.824
O  0.683  0.859  0.176
O  0.824  0.317  0.141
O  0.824  0.683  0.507
O  0.859  0.176  0.683